Record 1
Li4SmTcO6: theoretical powder diffractogram (copper Kα), based on a DFT-relaxed cell (GGA-PBE, OQMD).
Lines closer than 0.1° are merged.

The 12 most intense peaks (2θ = 10–80°), low angle first:
Position (°2θ), I_rel
18.09, 100
18.79, 22
19.81, 43
22.71, 33
26.20, 21
33.46, 40
33.97, 20
35.30, 28
41.08, 52
42.00, 24
45.69, 16
59.25, 15

Atomic structure:
a = 5.4365 Å, b = 5.4365 Å, c = 5.1862 Å
α = 99.30°, β = 99.30°, γ = 120.59°
Fractional coordinates of all 12 atoms:
Li (0.0000, 0.0000, 0.0000)
Li (0.3825, 0.6175, 0.0000)
Li (0.6922, 0.3078, 0.0000)
Li (0.8542, 0.1458, 0.5000)
Sm (0.1904, 0.8096, 0.5000)
Tc (0.5200, 0.4800, 0.5000)
O (0.1349, 0.3909, 0.2530)
O (0.2857, 0.2602, 0.7305)
O (0.4545, 0.1153, 0.2577)
O (0.6091, 0.8651, 0.7470)
O (0.7398, 0.7143, 0.2695)
O (0.8847, 0.5455, 0.7423)

Record 2
Li4TbSnO6: theoretical powder diffractogram (copper Kα), based on a DFT-relaxed cell (GGA-PBE, OQMD).
Lines closer than 0.1° are merged.

The 12 most intense peaks (2θ = 10–80°), low angle first:
Position (°2θ), I_rel
18.18, 100
18.69, 23
19.74, 42
22.57, 32
26.19, 22
33.30, 44
33.70, 22
35.12, 32
41.08, 54
41.72, 26
45.55, 19
58.82, 17

Atomic structure:
a = 5.4686 Å, b = 5.4686 Å, c = 5.1812 Å
α = 99.60°, β = 99.60°, γ = 120.54°
Fractional coordinates of all 12 atoms:
Li (0.0000, 0.0000, 0.0000)
Li (0.3710, 0.6290, 0.0000)
Li (0.7094, 0.2906, 0.0000)
Li (0.8546, 0.1454, 0.5000)
Tb (0.1883, 0.8117, 0.5000)
Sn (0.5207, 0.4793, 0.5000)
O (0.1222, 0.3923, 0.2532)
O (0.2777, 0.2460, 0.7434)
O (0.4507, 0.0915, 0.2508)
O (0.6077, 0.8778, 0.7468)
O (0.7540, 0.7223, 0.2566)
O (0.9085, 0.5493, 0.7492)